Theoretical powder XRD pattern of Li5V5Fe2O12 for a wavelength of 1.5418 Å, from a GGA+U-relaxed structure.

Atomic structure:
abc: 5.1879 5.1879 9.9568
angles: 95.12 95.12 119.52
Atoms (fractional coordinates):
Li  0.0000  0.0000  0.0000
Li  0.2421  0.2572  0.7610
Li  0.3869  0.0736  0.2363
Li  0.7428  0.7579  0.2390
Li  0.9264  0.6131  0.7637
V  0.0747  0.4094  0.2390
V  0.1628  0.8372  0.5000
V  0.5017  0.4983  0.5000
V  0.5906  0.9253  0.7610
V  0.6522  0.3478  0.0000
Fe  0.3228  0.6772  0.0000
Fe  0.8321  0.1679  0.5000
O  0.0162  0.6956  0.1247
O  0.1393  0.1390  0.3811
O  0.2352  0.5712  0.6221
O  0.3044  0.9838  0.8753
O  0.3626  0.3841  0.1275
O  0.4288  0.7648  0.3779
O  0.5238  0.1907  0.6187
O  0.6159  0.6374  0.8725
O  0.7047  0.0750  0.1273
O  0.8093  0.4762  0.3813
O  0.8610  0.8607  0.6189
O  0.9250  0.2953  0.8727

The 10 most intense peaks (15 to 90 degrees two-theta), sorted by position:
2θ (°), I_rel
18.1, 37
19.8, 25
23.1, 33
31.4, 14
36.7, 27
42.5, 50
42.6, 100
61.6, 41
61.9, 26
62.1, 13